[1]
Structure and theoretical X-ray diffraction stick pattern of NaMo2Pt (a GGA-PBE-relaxed structure; Cu Kα (λ = 1.5418 Å)).
Intensities are scaled so that the largest is 100.

```
data_NaMo2Pt
_chemical_formula_sum 'Na2 Mo4 Pt2'
_space_group_name_H-M_alt 'P 1 m 1'
_space_group_IT_number 6
_cell_length_a 2.757
_cell_length_b 4.564
_cell_length_c 11.077
_cell_angle_alpha 90.00
_cell_angle_beta 90.41
_cell_angle_gamma 90.00
loop_
_space_group_symop_operation_xyz
'x,y,z'
'x,-y,z'
loop_
_atom_site_label
_atom_site_fract_x
_atom_site_fract_y
_atom_site_fract_z
_atom_site_occupancy
Na1 0.000 0.000 0.000 1
Na2 0.485 0.500 0.141 1
Mo1 0.256 0.500 0.403 1
Mo2 0.484 0.000 0.515 1
Mo3 0.767 0.000 0.738 1
Mo4 0.987 0.500 0.626 1
Pt1 0.407 0.500 0.848 1
Pt2 0.891 0.000 0.293 1
```

Largest 12 diffraction maxima, by angle, 10° ≤ 2θ ≤ 80°:
(hkl)	2θ/deg	Rel. int.
0 0 2	16.0	74
0 1 1	21.1	65
0 1 4	38.0	100
1 1 0	38.1	45
0 2 0	39.5	71
1 0 -3	40.7	32
1 0 3	41.0	25
1 1 -2	41.5	52
1 1 2	41.7	49
0 1 5	45.5	47
1 2 -3	58.0	22
0 3 4	70.7	23


[2]
Structure and theoretical X-ray diffraction stick pattern of RbNa2MoS4 (a GGA-PBE-relaxed structure; Cu Kα (λ = 1.5418 Å)).
Intensities are scaled so that the largest is 100.

```
data_RbNa2MoS4
_chemical_formula_sum 'Rb4 Na8 Mo4 S16'
_space_group_name_H-M_alt 'F m m 2'
_space_group_IT_number 42
_space_group_name_Hall 'F 2 -2'
_cell_length_a 10.239
_cell_length_b 10.273
_cell_length_c 8.695
_cell_angle_alpha 90.00
_cell_angle_beta 90.00
_cell_angle_gamma 90.00
loop_
_atom_site_label
_atom_site_fract_x
_atom_site_fract_y
_atom_site_fract_z
_atom_site_occupancy
Rb1 0.000 0.000 0.000 1
Na1 0.250 0.250 0.251 1
Mo1 0.000 0.000 0.500 1
S1 0.000 0.180 0.647 1
S2 0.181 0.000 0.352 1
```

Largest 12 diffraction maxima, by angle, 10° ≤ 2θ ≤ 80°:
(hkl)	2θ/deg	Rel. int.
1 1 1	15.9	13
0 2 0	17.3	59
2 2 0	24.6	21
2 0 2	26.9	100
1 3 1	29.4	14
2 2 2	32.1	25
0 4 0	34.9	16
4 0 0	35.1	16
2 4 2	44.7	48
2 2 4	48.9	27
2 4 4	58.5	11
4 6 2	69.5	10


[3]
Structure and theoretical X-ray diffraction stick pattern of NaMo2Rh (a GGA-PBE-relaxed structure; Cu Kα (λ = 1.5418 Å)).
Intensities are scaled so that the largest is 100.

```
data_NaMo2Rh
_chemical_formula_sum 'Na4 Mo8 Rh4'
_space_group_name_H-M_alt 'I -4 2 d'
_space_group_IT_number 122
_space_group_name_Hall 'I -4 2bw'
_cell_length_a 7.441
_cell_length_b 7.441
_cell_length_c 5.190
_cell_angle_alpha 90.00
_cell_angle_beta 90.00
_cell_angle_gamma 90.00
loop_
_atom_site_label
_atom_site_fract_x
_atom_site_fract_y
_atom_site_fract_z
_atom_site_occupancy
Na1 0.000 0.000 0.000 1
Mo1 0.208 0.750 0.625 1
Rh1 0.000 0.000 0.500 1
```

Largest 12 diffraction maxima, by angle, 10° ≤ 2θ ≤ 80°:
(hkl)	2θ/deg	Rel. int.
1 0 1	20.9	54
2 1 1	31.9	18
2 2 0	34.1	100
1 1 2	38.7	82
3 2 1	47.4	32
4 0 0	49.0	30
3 1 2	52.5	55
4 1 1	53.8	17
3 3 2	64.1	12
5 0 1	65.2	12
5 1 2	74.6	13
2 0 4	78.0	19